No. 1
This entry pairs a crystal structure of Na4Np3Te8 with its computed powder diffractogram. Radiation: CuKα. Structure: a structure optimized by DFT (PBE).
No peak broadening, texture or thermal motion is included.

Largest 10 diffraction maxima, by angle, 2θ from 5° to 70°:
8.098 Å, rel. 77
7.363 Å, rel. 17
3.815 Å, rel. 23
3.260 Å, rel. 100
2.582 Å, rel. 32
2.387 Å, rel. 40
2.230 Å, rel. 43
2.150 Å, rel. 18
1.917 Å, rel. 16
1.841 Å, rel. 20

Atomic structure:
```
Na4Np3Te8
1.0
4.4606 2.5753 8.0980
-4.4606 2.5753 8.0980
0.0000 -5.1507 8.0980
Na Np Te
4 3 8
direct
0.0000 0.0000 0.0000
0.1392 0.1392 0.1392
0.5000 0.5000 0.5000
0.8608 0.8608 0.8608
0.0000 0.5000 0.5000
0.5000 0.0000 0.5000
0.5000 0.5000 0.0000
0.2479 0.2479 0.7194
0.2479 0.7194 0.2479
0.2643 0.2643 0.2643
0.2806 0.7521 0.7521
0.7194 0.2479 0.2479
0.7357 0.7357 0.7357
0.7521 0.2806 0.7521
0.7521 0.7521 0.2806
```

No. 2
This entry pairs a crystal structure of CaPrSe2 with its computed powder diffractogram. Radiation: CuKα. Structure: a structure optimized by DFT (PBE).
No peak broadening, texture or thermal motion is included.

Largest 10 diffraction maxima, by angle, 2θ from 5° to 70°:
7.420 Å, rel. 32
3.403 Å, rel. 74
2.787 Å, rel. 100
2.376 Å, rel. 60
2.064 Å, rel. 52
1.890 Å, rel. 15
1.855 Å, rel. 12
1.659 Å, rel. 21
1.558 Å, rel. 16
1.380 Å, rel. 27

Atomic structure:
```
CaPrSe2
1.0
2.0637 1.1915 7.4204
-2.0637 1.1915 7.4204
0.0000 -2.3830 7.4204
Ca Pr Se
1 1 2
direct
0.0000 0.0000 0.0000
0.1728 0.1728 0.1728
0.5888 0.5888 0.5888
0.7534 0.7534 0.7534
```

No. 3
This entry pairs a crystal structure of LiCoBrCl2 with its computed powder diffractogram. Radiation: CuKα. Structure: a structure optimized by DFT (PBE).
No peak broadening, texture or thermal motion is included.

Largest 10 diffraction maxima, by angle, 2θ from 5° to 70°:
4.623 Å, rel. 100
3.269 Å, rel. 12
2.806 Å, rel. 27
2.734 Å, rel. 33
2.354 Å, rel. 33
2.312 Å, rel. 39
2.067 Å, rel. 22
1.765 Å, rel. 32
1.649 Å, rel. 21
1.403 Å, rel. 14

Atomic structure:
```
LiCoBrCl2
1.0
4.6230 0.0000 0.0000
0.0000 4.6230 0.0000
0.0000 0.0000 5.4688
Li Co Br Cl
1 1 1 2
direct
0.0000 0.0000 0.0000
0.5000 0.5000 0.5000
0.5000 0.5000 0.0000
0.0000 0.5000 0.5000
0.5000 0.0000 0.5000
```

No. 4
This entry pairs a crystal structure of Cs2AlCrS4 with its computed powder diffractogram. Radiation: CuKα. Structure: a structure optimized by DFT (PBE).
No peak broadening, texture or thermal motion is included.

Largest 10 diffraction maxima, by angle, 2θ from 5° to 70°:
5.388 Å, rel. 38
4.594 Å, rel. 56
3.637 Å, rel. 37
3.562 Å, rel. 99
3.485 Å, rel. 33
3.361 Å, rel. 100
2.956 Å, rel. 79
2.759 Å, rel. 41
2.433 Å, rel. 46
1.995 Å, rel. 37

Atomic structure:
```
Cs2AlCrS4
1.0
0.0000 6.9707 12.4337
3.0050 0.0000 12.4337
3.0050 6.9707 0.0000
Cs Al Cr S
4 2 2 8
direct
0.0516 0.0516 0.6984
0.3016 0.3016 0.9484
0.6984 0.6984 0.0516
0.9484 0.9484 0.3016
0.3750 0.3750 0.3750
0.6250 0.6250 0.6250
0.1250 0.1250 0.1250
0.8750 0.8750 0.8750
0.0060 0.3399 0.4188
0.2647 0.5812 0.6601
0.3399 0.0060 0.7353
0.4188 0.7353 0.0060
0.5812 0.2647 0.9940
0.6601 0.9940 0.2647
0.7353 0.4188 0.3399
0.9940 0.6601 0.5812
```

No. 5
This entry pairs a crystal structure of ErTh6Sc2 with its computed powder diffractogram. Radiation: CuKα. Structure: a structure optimized by DFT (PBE).
No peak broadening, texture or thermal motion is included.

Largest 10 diffraction maxima, by angle, 2θ from 5° to 70°:
8.760 Å, rel. 31
3.022 Å, rel. 62
3.002 Å, rel. 25
2.920 Å, rel. 54
2.745 Å, rel. 82
2.620 Å, rel. 100
2.100 Å, rel. 41
1.745 Å, rel. 39
1.595 Å, rel. 28
1.498 Å, rel. 45

Atomic structure:
```
ErTh6Sc2
1.0
3.4893 0.0000 0.0000
-1.7446 3.0218 0.0000
0.0000 0.0000 26.2799
Er Th Sc
1 6 2
direct
0.0000 0.0000 0.0000
0.0000 0.0000 0.2245
0.0000 0.0000 0.4361
0.0000 0.0000 0.5639
0.0000 0.0000 0.7755
0.3333 0.6667 0.1122
0.3333 0.6667 0.8878
0.3333 0.6667 0.3312
0.3333 0.6667 0.6688
```

No. 6
This entry pairs a crystal structure of Li3PrO3 with its computed powder diffractogram. Radiation: CuKα. Structure: a structure optimized by DFT (PBE).
No peak broadening, texture or thermal motion is included.

Largest 10 diffraction maxima, by angle, 2θ from 5° to 70°:
5.551 Å, rel. 67
4.993 Å, rel. 55
4.431 Å, rel. 50
3.022 Å, rel. 37
2.810 Å, rel. 17
2.654 Å, rel. 100
2.044 Å, rel. 52
1.745 Å, rel. 22
1.664 Å, rel. 18
1.578 Å, rel. 16

Atomic structure:
```
Li3PrO3
1.0
3.0220 1.7448 5.5513
-3.0220 1.7448 5.5513
0.0000 -3.4895 5.5513
Li Pr O
6 2 6
direct
0.1537 0.8246 0.4022
0.1754 0.5978 0.8463
0.4022 0.1537 0.8246
0.5978 0.8463 0.1754
0.8246 0.4022 0.1537
0.8463 0.1754 0.5978
0.3294 0.3294 0.3294
0.6706 0.6706 0.6706
0.0870 0.4606 0.7199
0.2801 0.9130 0.5394
0.4606 0.7199 0.0870
0.5394 0.2801 0.9130
0.7199 0.0870 0.4606
0.9130 0.5394 0.2801
```